For ErIn5Co, a crystal structure in Alexandria, relaxed with PBE gives the simulated X-ray powder pattern in this record (Cu Kα).
Neutral-atom scattering factors, no anomalous dispersion.

Main lines, sorted by position (2θ = 5–70°):
2θ/deg, I (rel.), index
30.13, 49, 1 1 1
36.07, 21, 0 0 3
36.77, 100, 1 1 2
39.43, 55, 2 0 0
54.50, 25, 2 0 3
56.98, 22, 2 2 0
64.43, 7, 2 0 4
65.81, 10, 3 1 1
69.30, 26, 1 1 5
69.77, 29, 3 1 2

Crystal structure
Cell lengths 4.5708, 4.5708, 7.4698 Å; angles 90.00, 90.00, 90.00 degrees
Space group P4/mmm (No. 123)
Unique sites:
1 Er 0.0000 0.0000 0.0000 x1
2 In 0.0000 0.5000 0.3052 x4
3 In 0.5000 0.5000 0.0000 x1
4 Co 0.0000 0.0000 0.5000 x1

---

For Ge3Pt9Pb, a crystal structure in Alexandria, relaxed with PBE gives the simulated X-ray powder pattern in this record (Cu Kα).
Neutral-atom scattering factors, no anomalous dispersion.

Main lines, sorted by position (2θ = 5–70°):
2θ/deg, I (rel.), index
22.82, 21, 1 1 1
24.97, 100, 2 0 1
29.35, 41, 4 0 0
38.10, 96, 4 2 -1
40.25, 66, 0 4 0
42.71, 86, 2 2 -2
46.61, 56, 2 2 2
47.95, 35, 2 4 1
49.29, 56, 6 2 0
51.24, 22, 6 0 1

Crystal structure
Cell lengths 12.3163, 8.9626, 4.9582 Å; angles 90.00, 98.62, 90.00 degrees
Space group C2/m (No. 12)
Unique sites:
1 Ge 0.0000 0.0000 0.0000 x2
2 Ge 0.2500 0.2500 0.5000 x4
3 Pt 0.0000 0.0000 0.5000 x2
4 Pt 0.0655 0.2408 0.2537 x8
5 Pt 0.1887 0.5000 0.2341 x4
6 Pt 0.2500 0.2500 0.0000 x4
7 Pb 0.0000 0.5000 0.5000 x2

---

For NbCr3Cu2S8, a crystal structure in Alexandria, relaxed with PBE gives the simulated X-ray powder pattern in this record (Cu Kα).
Neutral-atom scattering factors, no anomalous dispersion.

Main lines, sorted by position (2θ = 5–70°):
2θ/deg, I (rel.), index
7.09, 82, 0 0 1
21.37, 100, 0 0 3
28.28, 31, 2 0 0
28.58, 44, 1 -2 1
29.81, 83, -1 2 1
34.17, 61, 2 0 -3
34.29, 30, 1 2 2
42.45, 34, 2 0 4
49.81, 29, 3 -2 0
49.98, 57, 0 4 -1

Crystal structure
Cell lengths 6.3391, 7.2954, 12.6533 Å; angles 98.40, 94.72, 90.17 degrees
Space group P1 (No. 1)
Unique sites:
1 Nb 0.0000 0.0000 0.0000 x1
2 Nb 0.2209 0.8530 0.4226 x1
3 Cr 0.0995 0.1732 0.7117 x1
4 Cr 0.2381 0.3554 0.4302 x1
5 Cr 0.4820 0.7355 0.9884 x1
6 Cr 0.4849 0.2446 0.9927 x1
7 Cr 0.6109 0.4109 0.7113 x1
8 Cr 0.6974 0.5964 0.4329 x1
9 Cu 0.1073 0.6564 0.7141 x1
10 Cu 0.6047 0.9124 0.7073 x1
11 Cu 0.7253 0.0891 0.4346 x1
12 Cu 0.9711 0.4799 0.9896 x1
13 S 0.0255 0.5773 0.3608 x1
14 S 0.0411 0.0927 0.3549 x1
15 S 0.1624 0.7464 0.0623 x1
16 S 0.1736 0.2747 0.0747 x1
17 S 0.2466 0.8924 0.6073 x1
18 S 0.2609 0.3836 0.6104 x1
19 S 0.4478 0.1958 0.8112 x1
20 S 0.4606 0.6894 0.8089 x1
21 S 0.5478 0.8282 0.3492 x1
22 S 0.5517 0.3244 0.3649 x1
23 S 0.6543 0.5104 0.0592 x1
24 S 0.6583 0.0063 0.0640 x1
25 S 0.7573 0.6324 0.6097 x1
26 S 0.7581 0.1388 0.6167 x1
27 S 0.9504 0.4355 0.8078 x1
28 S 0.9675 0.9447 0.8159 x1

---

For Ge2Bi2PdPt7, a crystal structure in Alexandria, relaxed with PBE gives the simulated X-ray powder pattern in this record (Cu Kα).
Neutral-atom scattering factors, no anomalous dispersion.

Main lines, sorted by position (2θ = 5–70°):
2θ/deg, I (rel.), index
5.72, 39, 0 0 2
11.45, 43, 0 0 4
23.01, 42, 0 0 8
32.59, 79, 1 1 2
34.15, 28, 1 1 4
36.61, 80, 1 1 6
39.83, 29, 1 1 8
43.69, 100, 1 1 10
45.98, 84, 2 0 0
67.05, 28, 2 2 0

Crystal structure
Cell lengths 3.9480, 3.9480, 30.9186 Å; angles 90.00, 90.00, 90.00 degrees
Space group I4/mmm (No. 139)
Unique sites:
1 Ge 0.0000 0.0000 0.1172 x4
2 Bi 0.0000 0.0000 0.2891 x4
3 Pd 0.0000 0.0000 0.5000 x2
4 Pt 0.0000 0.0000 0.0000 x2
5 Pt 0.0000 0.0000 0.1961 x4
6 Pt 0.0000 0.5000 0.0668 x8

---

For TaNiPt2Rh2, a crystal structure in Alexandria, relaxed with PBE gives the simulated X-ray powder pattern in this record (Cu Kα).
Neutral-atom scattering factors, no anomalous dispersion.

Main lines, sorted by position (2θ = 5–70°):
2θ/deg, I (rel.), index
13.17, 25, 0 0 1
36.60, 28, 0 2 1
38.61, 78, 2 0 -2
38.75, 83, 1 2 0
40.24, 100, 0 0 3
40.48, 24, 2 1 0
42.67, 61, 2 0 1
42.88, 79, 1 2 1
44.24, 67, 1 2 -2
52.72, 38, 1 2 -3

Crystal structure
Cell lengths 5.1363, 5.2748, 7.0241 Å; angles 90.00, 106.84, 90.00 degrees
Space group P2_1/m (No. 11)
Unique sites:
1 Ta 0.0750 0.2500 0.3385 x2
2 Ni 0.1235 0.7500 0.3430 x2
3 Pt 0.3994 0.0005 0.6649 x4
4 Rh 0.1661 0.2500 0.0060 x2
5 Rh 0.3417 0.7500 0.9951 x2

---

For CsLi2Th2S6, a crystal structure in Alexandria, relaxed with PBE gives the simulated X-ray powder pattern in this record (Cu Kα).
Neutral-atom scattering factors, no anomalous dispersion.

Main lines, sorted by position (2θ = 5–70°):
2θ/deg, I (rel.), index
13.78, 100, 1 0 0
22.75, 18, -1 1 1
24.34, 33, 0 2 -1
24.99, 56, 1 1 -2
25.46, 32, 0 1 1
30.87, 24, 1 2 -1
32.42, 39, 2 1 -2
34.31, 15, 1 1 1
40.53, 17, 1 0 -3
41.59, 19, 2 2 -1

Crystal structure
Cell lengths 7.2173, 7.5380, 7.5399 Å; angles 117.20, 103.73, 103.68 degrees
Space group P-1 (No. 2)
Unique sites:
1 Cs 0.0000 0.0000 0.0000 x1
2 Li 0.4999 0.3649 0.6336 x2
3 Th 0.0002 0.3341 0.6661 x2
4 S 0.2470 0.0997 0.6622 x2
5 S 0.2469 0.6624 0.1000 x2
6 S 0.2565 0.5206 0.5207 x2

---

What did the second record say?
For Ge3Pt9Pb, a crystal structure in Alexandria, relaxed with PBE gives the simulated X-ray powder pattern in this record (Cu Kα).
Neutral-atom scattering factors, no anomalous dispersion.

Main lines, sorted by position (2θ = 5–70°):
2θ/deg, I (rel.), index
22.82, 21, 1 1 1
24.97, 100, 2 0 1
29.35, 41, 4 0 0
38.10, 96, 4 2 -1
40.25, 66, 0 4 0
42.71, 86, 2 2 -2
46.61, 56, 2 2 2
47.95, 35, 2 4 1
49.29, 56, 6 2 0
51.24, 22, 6 0 1

Crystal structure
Cell lengths 12.3163, 8.9626, 4.9582 Å; angles 90.00, 98.62, 90.00 degrees
Space group C2/m (No. 12)
Unique sites:
1 Ge 0.0000 0.0000 0.0000 x2
2 Ge 0.2500 0.2500 0.5000 x4
3 Pt 0.0000 0.0000 0.5000 x2
4 Pt 0.0655 0.2408 0.2537 x8
5 Pt 0.1887 0.5000 0.2341 x4
6 Pt 0.2500 0.2500 0.0000 x4
7 Pb 0.0000 0.5000 0.5000 x2

---

- Which formula does entry 3 have?
  NbCr3Cu2S8